Entry 1:
Structure and computed powder diffractogram of TlSi (a PBE-relaxed structure; Cu Kα (weighted mean of Kα1 and Kα2)).
Intensities are scaled so that the largest is 100.

Atomic structure:
Cell lengths 6.5465, 3.7855, 8.7627 Å; angles 90.00, 104.57, 90.00 degrees
Space group C2/m (No. 12)
Asymmetric unit:
Tl (0.2229, 0.0000, 0.1719)
Si (0.1488, 0.5000, 0.4470)

Peak list (10 most intense, 2θ = 10–80°, by angle)
- 10.4 deg, I = 32, (0 0 1)
- 20.9 deg, I = 13, (0 0 2)
- 28.1 deg, I = 100, (1 1 -1)
- 30.7 deg, I = 37, (2 0 -2)
- 31.7 deg, I = 29, (0 0 3)
- 32.5 deg, I = 38, (2 0 1)
- 36.9 deg, I = 55, (1 1 2)
- 48.1 deg, I = 44, (0 2 0)
- 56.7 deg, I = 15, (4 0 -2)
- 58.7 deg, I = 20, (0 2 3)

Entry 2:
Structure and computed powder diffractogram of Tl4Si23 (a PBE-relaxed structure; Cu Kα (weighted mean of Kα1 and Kα2)).
Intensities are scaled so that the largest is 100.

Atomic structure:
Cell lengths 10.2764, 10.2764, 10.2764 Å; angles 90.00, 90.00, 90.00 degrees
Space group Pm-3n (No. 223)
Asymmetric unit:
Tl (0.0000, 0.0000, 0.0000)
Tl (0.0000, 0.2500, 0.5000)
Si (0.0000, 0.3072, 0.1180)
Si (0.0000, 0.5000, 0.2500)
Si (0.1843, 0.1843, 0.1843)

Peak list (10 most intense, 2θ = 10–80°, by angle)
- 17.3 deg, I = 18, (2 0 0)
- 19.3 deg, I = 52, (2 1 0)
- 21.2 deg, I = 45, (2 1 1)
- 30.1 deg, I = 24, (2 2 2)
- 31.4 deg, I = 48, (3 2 0)
- 32.6 deg, I = 100, (3 2 1)
- 34.9 deg, I = 28, (4 0 0)
- 47.7 deg, I = 21, (5 2 0)
- 55.1 deg, I = 39, (5 3 2)
- 66.9 deg, I = 17, (5 5 2)

Entry 3:
Structure and computed powder diffractogram of Tl2Si (a PBE-relaxed structure; Cu Kα (weighted mean of Kα1 and Kα2)).
Intensities are scaled so that the largest is 100.

Atomic structure:
Cell lengths 11.5235, 3.6702, 8.0668 Å; angles 90.00, 108.14, 90.00 degrees
Space group C2/m (No. 12)
Asymmetric unit:
Tl (0.0256, 0.0000, 0.2098)
Tl (0.1632, 0.5000, 0.6180)
Si (0.2011, 0.5000, 0.0426)

Peak list (10 most intense, 2θ = 10–80°, by angle)
- 27.1 deg, I = 77, (1 1 -1)
- 31.1 deg, I = 52, (4 0 -1)
- 32.4 deg, I = 63, (2 0 2)
- 33.0 deg, I = 91, (1 1 -2)
- 33.8 deg, I = 71, (2 0 -3)
- 34.7 deg, I = 100, (3 1 0)
- 46.1 deg, I = 25, (1 1 3)
- 52.1 deg, I = 37, (5 1 -3)
- 60.3 deg, I = 30, (5 1 2)
- 61.4 deg, I = 26, (2 2 -3)